This entry pairs a crystal structure of La3Nd3Al22 with its computed X-ray diffraction stick pattern. Radiation: a wavelength of 1.5418 Å. Structure: a structure optimized by DFT (GGA-PBE).
Lines closer than 0.1° are merged.

Structural model:
Unit cell a=16.4781 b=4.4048 c=16.5648 alpha=90.00 beta=105.12 gamma=90.00
Space group Cm (No. 8)
One atom of each set of equivalent atoms:
La  0.0000  0.0000  0.0000 [2 per cell]
La  0.0002  0.5000  0.5000 [2 per cell]
La  0.3165  0.0000  0.6831 [2 per cell]
Nd  0.1587  0.0000  0.8419 [2 per cell]
Nd  0.1585  0.5000  0.3410 [2 per cell]
Nd  0.3171  0.5000  0.1829 [2 per cell]
Al  0.0105  0.0000  0.3586 [2 per cell]
Al  0.0104  0.5000  0.8583 [2 per cell]
Al  0.0164  0.0000  0.2003 [2 per cell]
Al  0.0168  0.5000  0.7002 [2 per cell]
Al  0.0899  0.0000  0.6369 [2 per cell]
Al  0.0900  0.5000  0.1368 [2 per cell]
Al  0.1412  0.0000  0.4899 [2 per cell]
Al  0.1409  0.5000  0.9898 [2 per cell]
Al  0.1756  0.5000  0.6934 [2 per cell]
Al  0.1765  0.0000  0.1935 [2 per cell]
Al  0.2270  0.0000  0.0471 [2 per cell]
Al  0.2268  0.5000  0.5464 [2 per cell]
Al  0.3000  0.0000  0.4828 [2 per cell]
Al  0.2997  0.5000  0.9838 [2 per cell]
Al  0.3060  0.0000  0.3240 [2 per cell]
Al  0.3064  0.5000  0.8249 [2 per cell]
Al  0.3629  0.0000  0.9100 [2 per cell]
Al  0.3631  0.5000  0.4096 [2 per cell]
Al  0.4079  0.0000  0.0920 [2 per cell]
Al  0.4084  0.5000  0.5918 [2 per cell]
Al  0.4531  0.0000  0.2733 [2 per cell]
Al  0.4538  0.5000  0.7732 [2 per cell]

Largest 6 diffraction maxima, by angle, 10° ≤ 2θ ≤ 90°:
(hkl)	2θ (°)	d_spacing	I (rel.)
2 0 2	17.66	5.022	45
1 1 1	22.07	4.028	100
3 1 -3	28.77	3.103	57
3 1 3	33.63	2.665	83
1 1 -5	33.88	2.646	99
5 1 -1	34.02	2.635	74

This entry pairs a crystal structure of VCu3PbSe4 with its computed X-ray diffraction stick pattern. Radiation: a wavelength of 1.5418 Å. Structure: a structure optimized by DFT (GGA-PBE).
Lines closer than 0.1° are merged.

Structural model:
Unit cell a=6.0409 b=6.0409 c=6.0409 alpha=90.00 beta=90.00 gamma=90.00
Space group P-43m (No. 215)
One atom of each set of equivalent atoms:
V  0.0000  0.0000  0.0000 [1 per cell]
Cu  0.0000  0.0000  0.5000 [3 per cell]
Pb  0.5000  0.5000  0.5000 [1 per cell]
Se  0.2275  0.2275  0.2275 [4 per cell]

Largest 6 diffraction maxima, by angle, 10° ≤ 2θ ≤ 90°:
(hkl)	2θ (°)	d_spacing	I (rel.)
1 1 0	20.80	4.272	39
1 1 1	25.54	3.488	100
2 1 1	36.43	2.466	21
2 2 0	42.32	2.136	98
3 1 1	50.08	1.821	45
4 2 2	77.39	1.233	28

This entry pairs a crystal structure of CaEu2Ge4O12 with its computed X-ray diffraction stick pattern. Radiation: a wavelength of 1.5418 Å. Structure: a structure optimized by DFT (GGA-PBE).
Lines closer than 0.1° are merged.

Structural model:
Unit cell a=14.4835 b=14.5125 c=5.1888 alpha=90.00 beta=90.00 gamma=90.00
Space group Cmme (No. 67)
One atom of each set of equivalent atoms:
Ca  0.2500  0.2500  0.0000 [4 per cell]
Eu  0.0000  0.0000  0.0000 [4 per cell]
Eu  0.2500  0.0000  0.0000 [4 per cell]
Ge  0.1131  0.1385  0.4982 [16 per cell]
O  0.0000  0.1276  0.3448 [8 per cell]
O  0.1161  0.0594  0.7520 [16 per cell]
O  0.1212  0.2500  0.6540 [8 per cell]
O  0.1918  0.1307  0.2457 [16 per cell]

Largest 6 diffraction maxima, by angle, 10° ≤ 2θ ≤ 90°:
(hkl)	2θ (°)	d_spacing	I (rel.)
0 2 0	12.20	7.256	24
0 2 1	21.05	4.220	37
4 0 1	30.07	2.971	100
4 4 0	35.01	2.563	24
4 4 2	50.03	1.823	25
8 4 1	59.77	1.547	23